The following is a simulated PXRD pattern of Fe2NiN. It was derived from a DFT-relaxed cell (GGA-PBE, Alexandria), using Cu Kα, 1.54184 Å.
Peak positions follow from Bragg's law for the DFT cell and can differ from measured ones.

Structural model:
```
Fe2NiN
1.0
1.3378 0.7724 6.3882
-1.3378 0.7724 6.3882
0.0000 -1.5448 6.3882
Fe Ni N
2 1 1
Direct
0.2277 0.2277 0.2277 Fe
0.7723 0.7723 0.7723 Fe
0.0000 0.0000 0.0000 Ni
0.5000 0.5000 0.5000 N
```

Peak list (6 most intense, 10° ≤ 2θ ≤ 90°, by angle)
Position (°2θ)  d [Å]  I/Imax
42.5  2.129  31
43.4  2.086  100
45.8  1.983  45
55.1  1.666  24
70.4  1.338  25
85.8  1.133  21

---

The following is a simulated PXRD pattern of Y3Hg2Ir. It was derived from a DFT-relaxed cell (GGA-PBE, Alexandria), using Cu Kα, 1.54184 Å.
Peak positions follow from Bragg's law for the DFT cell and can differ from measured ones.

Structural model:
```
Y3Hg2Ir
1.0
5.0847 0.0000 0.0000
0.0000 7.4127 0.0000
-2.5247 0.0000 7.6046
Y Hg Ir
6 4 2
Direct
0.0000 0.2357 0.0000 Y
0.0000 0.7643 0.0000 Y
0.3264 0.2269 0.6530 Y
0.3264 0.7731 0.6530 Y
0.6736 0.2269 0.3470 Y
0.6736 0.7731 0.3470 Y
0.1646 0.5000 0.3303 Hg
0.5000 0.0000 0.0000 Hg
0.5000 0.5000 0.0000 Hg
0.8354 0.5000 0.6697 Hg
0.1612 0.0000 0.3222 Ir
0.8388 0.0000 0.6778 Ir
```

Peak list (6 most intense, 10° ≤ 2θ ≤ 90°, by angle)
Position (°2θ)  d [Å]  I/Imax
34.8  2.579  100
35.3  2.542  25
35.4  2.535  24
62.0  1.497  18
63.0  1.475  18
63.2  1.472  17